The following is a calculated powder X-ray diffraction pattern of Dy6Ru5. It was derived from a structure optimized by DFT (GGA-PBE), using λ = 1.5418 Å (Cu Kα).

Crystal structure
a = 8.2705 Å, b = 8.2705 Å, c = 4.8380 Å
α = 106.92°, β = 106.92°, γ = 48.33°
Fractional coordinates of all 11 atoms:
Dy 0.0828 0.5831 0.3327
Dy 0.2488 0.7512 0.0000
Dy 0.4169 0.9172 0.6673
Dy 0.5831 0.0828 0.3327
Dy 0.7512 0.2488 0.0000
Dy 0.9172 0.4169 0.6673
Ru 0.0000 0.0000 0.5000
Ru 0.1631 0.1631 0.1632
Ru 0.3292 0.3292 0.8288
Ru 0.6708 0.6708 0.1712
Ru 0.8369 0.8369 0.8368

The 6 most intense peaks (10 to 90 degrees two-theta), low angle first:
d (Å)	I_rel
2.419	26
2.398	100
2.384	24
1.698	17
1.392	18
1.380	17

=====

The following is a calculated powder X-ray diffraction pattern of Li2Ho3Cd7. It was derived from a structure optimized by DFT (GGA-PBE), using λ = 1.5418 Å (Cu Kα).

Crystal structure
a = 5.0155 Å, b = 5.1119 Å, c = 11.3656 Å
α = 90.00°, β = 97.58°, γ = 90.00°
Fractional coordinates of all 12 atoms:
Li 0.1003 0.0000 0.2952
Li 0.8997 0.0000 0.7048
Ho 0.0000 0.0000 0.0000
Ho 0.4305 0.5000 0.6707
Ho 0.5695 0.5000 0.3293
Cd 0.0299 0.5000 0.1624
Cd 0.2631 0.0000 0.5419
Cd 0.4471 0.0000 0.8310
Cd 0.5000 0.5000 0.0000
Cd 0.5529 0.0000 0.1690
Cd 0.7369 0.0000 0.4581
Cd 0.9701 0.5000 0.8376

The 6 most intense peaks (10 to 90 degrees two-theta), low angle first:
d (Å)	I_rel
3.786	31
2.717	61
2.556	59
2.498	36
2.471	100
2.319	35

=====

The following is a calculated powder X-ray diffraction pattern of Ho2Tm5Sc. It was derived from a structure optimized by DFT (GGA-PBE), using λ = 1.5418 Å (Cu Kα).

Crystal structure
a = 8.2355 Å, b = 7.0788 Å, c = 6.5402 Å
α = 74.30°, β = 55.84°, γ = 49.86°
Fractional coordinates of all 8 atoms:
Ho 0.2466 0.7534 0.2466
Ho 0.7534 0.2466 0.7534
Tm 0.2514 0.2514 0.2486
Tm 0.3348 0.3348 0.6652
Tm 0.3361 0.8322 0.6639
Tm 0.7514 0.7514 0.7486
Tm 0.8322 0.3361 0.1678
Sc 0.8342 0.8342 0.1658

The 6 most intense peaks (10 to 90 degrees two-theta), low angle first:
d (Å)	I_rel
3.065	25
2.750	24
2.677	100
1.770	20
1.573	20
1.488	22

=====

The following is a calculated powder X-ray diffraction pattern of AcNd4Tm7. It was derived from a structure optimized by DFT (GGA-PBE), using λ = 1.5418 Å (Cu Kα).

Crystal structure
a = 6.8632 Å, b = 6.8632 Å, c = 12.7151 Å
α = 115.78°, β = 115.78°, γ = 52.20°
Fractional coordinates of all 12 atoms:
Ac 0.0000 0.0000 0.0000
Nd 0.1451 0.1451 0.7761
Nd 0.4343 0.4343 0.6736
Nd 0.5657 0.5657 0.3264
Nd 0.8549 0.8549 0.2239
Tm 0.1324 0.1324 0.4987
Tm 0.2721 0.2721 0.3318
Tm 0.2948 0.2948 0.0782
Tm 0.5000 0.5000 0.0000
Tm 0.7052 0.7052 0.9218
Tm 0.7279 0.7279 0.6682
Tm 0.8676 0.8676 0.5013

The 6 most intense peaks (10 to 90 degrees two-theta), low angle first:
d (Å)	I_rel
3.019	87
2.970	73
2.742	91
2.700	100
2.117	57
1.675	24

=====

The following is a calculated powder X-ray diffraction pattern of Ho3Ag3Pd2. It was derived from a structure optimized by DFT (GGA-PBE), using λ = 1.5418 Å (Cu Kα).

Crystal structure
a = 7.4504 Å, b = 7.4504 Å, c = 3.6433 Å
α = 90.00°, β = 90.00°, γ = 120.00°
Fractional coordinates of all 8 atoms:
Ho 0.0000 0.4094 0.0000
Ho 0.4094 0.0000 0.0000
Ho 0.5906 0.5906 0.0000
Ag 0.0000 0.7709 0.5000
Ag 0.2291 0.2291 0.5000
Ag 0.7709 0.0000 0.5000
Pd 0.3333 0.6667 0.5000
Pd 0.6667 0.3333 0.5000

The 6 most intense peaks (10 to 90 degrees two-theta), low angle first:
d (Å)	I_rel
2.605	100
2.439	65
2.415	55
1.822	16
1.606	27
1.459	25

=====

The following is a calculated powder X-ray diffraction pattern of TaTe4Ir. It was derived from a structure optimized by DFT (GGA-PBE), using λ = 1.5418 Å (Cu Kα).

Crystal structure
a = 7.4149 Å, b = 7.4149 Å, c = 6.2935 Å
α = 102.94°, β = 102.94°, γ = 30.10°
Fractional coordinates of all 6 atoms:
Ta 0.0000 0.0000 0.0000
Te 0.0882 0.0882 0.4659
Te 0.3923 0.3923 0.1841
Te 0.6373 0.6373 0.9773
Te 0.8565 0.8565 0.6466
Ir 0.4888 0.4888 0.6159

The 6 most intense peaks (10 to 90 degrees two-theta), low angle first:
d (Å)	I_rel
6.965	100
2.838	89
2.590	30
2.259	24
1.999	28
1.925	18

=====

The following is a calculated powder X-ray diffraction pattern of NaZn2HSe2O7. It was derived from a structure optimized by DFT (GGA-PBE), using λ = 1.5418 Å (Cu Kα).

Crystal structure
a = 13.5353 Å, b = 6.1697 Å, c = 8.4954 Å
α = 90.00°, β = 90.00°, γ = 90.00°
Fractional coordinates of all 52 atoms:
Na 0.2492 0.2500 0.1299
Na 0.2508 0.7500 0.6299
Na 0.7492 0.2500 0.3701
Na 0.7508 0.7500 0.8701
Zn 0.0000 0.0000 0.0000
Zn 0.0000 0.5000 0.0000
Zn 0.1128 0.7500 0.2893
Zn 0.3872 0.2500 0.7893
Zn 0.5000 0.0000 0.5000
Zn 0.5000 0.5000 0.5000
Zn 0.6128 0.7500 0.2107
Zn 0.8872 0.2500 0.7107
H 0.1560 0.7500 0.9746
H 0.3440 0.2500 0.4746
H 0.6560 0.7500 0.5254
H 0.8440 0.2500 0.0254
Se 0.0252 0.2500 0.3820
Se 0.1703 0.2500 0.7752
Se 0.3297 0.7500 0.2752
Se 0.4748 0.7500 0.8820
Se 0.5252 0.2500 0.1180
Se 0.6703 0.2500 0.7248
Se 0.8297 0.7500 0.2248
Se 0.9748 0.7500 0.6180
O 0.0169 0.0301 0.2537
O 0.0169 0.4699 0.2537
O 0.0904 0.7500 0.5322
O 0.0964 0.7500 0.0394
O 0.1105 0.2500 0.9600
O 0.2453 0.5425 0.3004
O 0.2453 0.9575 0.3004
O 0.2547 0.0425 0.8004
O 0.2547 0.4575 0.8004
O 0.3895 0.7500 0.4600
O 0.4036 0.2500 0.5394
O 0.4096 0.2500 0.0322
O 0.4831 0.5301 0.7537
O 0.4831 0.9699 0.7537
O 0.5169 0.0301 0.2463
O 0.5169 0.4699 0.2463
O 0.5904 0.7500 0.9678
O 0.5964 0.7500 0.4606
O 0.6105 0.2500 0.5400
O 0.7453 0.5425 0.1996
O 0.7453 0.9575 0.1996
O 0.7547 0.0425 0.6996
O 0.7547 0.4575 0.6996
O 0.8895 0.7500 0.0400
O 0.9036 0.2500 0.9606
O 0.9096 0.2500 0.4678
O 0.9831 0.5301 0.7463
O 0.9831 0.9699 0.7463

The 6 most intense peaks (10 to 90 degrees two-theta), low angle first:
d (Å)	I_rel
6.768	88
4.992	55
4.017	60
3.387	54
2.835	57
2.801	100

=====

The following is a calculated powder X-ray diffraction pattern of K2InTcH6. It was derived from a structure optimized by DFT (GGA-PBE), using λ = 1.5418 Å (Cu Kα).

Crystal structure
a = 5.8362 Å, b = 5.8362 Å, c = 5.8365 Å
α = 119.41°, β = 119.41°, γ = 90.53°
Fractional coordinates of all 10 atoms:
K 0.2485 0.7515 0.0000
K 0.7515 0.2485 0.0000
In 0.9983 0.9983 0.5060
Tc 0.5002 0.5002 0.4670
H 0.2398 0.2398 0.0433
H 0.2934 0.7111 0.5332
H 0.3185 0.3185 0.5259
H 0.6813 0.6813 0.8813
H 0.7111 0.2934 0.5332
H 0.7711 0.7711 0.5975

The 6 most intense peaks (10 to 90 degrees two-theta), low angle first:
d (Å)	I_rel
4.181	17
4.146	17
2.944	100
2.918	96
1.695	23
1.690	23

=====

The following is a calculated powder X-ray diffraction pattern of BaSr2Mg2Ga2. It was derived from a structure optimized by DFT (GGA-PBE), using λ = 1.5418 Å (Cu Kα).

Crystal structure
a = 11.3539 Å, b = 11.3539 Å, c = 11.3539 Å
α = 25.40°, β = 25.40°, γ = 25.40°
Fractional coordinates of all 7 atoms:
Ba 0.0000 0.0000 0.0000
Sr 0.1259 0.1259 0.1259
Sr 0.8741 0.8741 0.8741
Mg 0.4041 0.4041 0.4041
Mg 0.5959 0.5959 0.5959
Ga 0.2566 0.2566 0.2566
Ga 0.7434 0.7434 0.7434

The 6 most intense peaks (10 to 90 degrees two-theta), low angle first:
d (Å)	I_rel
4.287	52
3.184	62
2.982	100
2.496	77
1.914	27
1.649	26

=====

The following is a calculated powder X-ray diffraction pattern of CsCu2HgCl6. It was derived from a structure optimized by DFT (GGA-PBE), using λ = 1.5418 Å (Cu Kα).

Crystal structure
a = 10.0831 Å, b = 10.0831 Å, c = 6.4776 Å
α = 93.28°, β = 93.28°, γ = 99.19°
Fractional coordinates of all 20 atoms:
Cs 0.1076 0.8924 0.7500
Cs 0.8924 0.1076 0.2500
Cu 0.2337 0.3539 0.7772
Cu 0.3539 0.2337 0.2772
Cu 0.6461 0.7663 0.7228
Cu 0.7663 0.6461 0.2228
Hg 0.3244 0.6756 0.2500
Hg 0.6756 0.3244 0.7500
Cl 0.0302 0.2341 0.7431
Cl 0.1970 0.5738 0.9468
Cl 0.2341 0.0302 0.2431
Cl 0.3054 0.4144 0.4627
Cl 0.4144 0.3054 0.9627
Cl 0.4262 0.8030 0.5532
Cl 0.5738 0.1970 0.4468
Cl 0.5856 0.6946 0.0373
Cl 0.6946 0.5856 0.5373
Cl 0.7659 0.9698 0.7569
Cl 0.8030 0.4262 0.0532
Cl 0.9698 0.7659 0.2569

The 6 most intense peaks (10 to 90 degrees two-theta), low angle first:
d (Å)	I_rel
6.510	38
4.959	54
4.070	100
3.813	72
3.304	59
2.991	48

=====

The following is a calculated powder X-ray diffraction pattern of CeDy3Zr2N6. It was derived from a structure optimized by DFT (GGA-PBE), using λ = 1.5418 Å (Cu Kα).

Crystal structure
a = 7.6270 Å, b = 7.6270 Å, c = 6.8383 Å
α = 102.95°, β = 102.95°, γ = 25.76°
Fractional coordinates of all 12 atoms:
Ce 0.0000 0.0000 0.0000
Dy 0.0000 0.0000 0.5000
Dy 0.3319 0.3319 0.1689
Dy 0.6681 0.6681 0.8311
Zr 0.3308 0.3308 0.6613
Zr 0.6692 0.6692 0.3387
N 0.1688 0.1688 0.0988
N 0.1711 0.1711 0.5759
N 0.4927 0.4927 0.7443
N 0.5073 0.5073 0.2557
N 0.8289 0.8289 0.4241
N 0.8312 0.8312 0.9012

The 6 most intense peaks (10 to 90 degrees two-theta), low angle first:
d (Å)	I_rel
2.790	67
2.779	66
2.411	100
1.705	45
1.456	29
1.452	29

=====

The following is a calculated powder X-ray diffraction pattern of GdMo2. It was derived from a structure optimized by DFT (GGA-PBE), using λ = 1.5418 Å (Cu Kα).

Crystal structure
a = 5.9754 Å, b = 5.9754 Å, c = 5.9754 Å
α = 148.17°, β = 148.17°, γ = 45.63°
Fractional coordinates of all 3 atoms:
Gd 0.0000 0.0000 0.0000
Mo 0.3091 0.3091 0.0000
Mo 0.6909 0.6909 0.0000

The 6 most intense peaks (10 to 90 degrees two-theta), low angle first:
d (Å)	I_rel
3.141	12
2.445	100
2.317	48
1.638	16
1.439	13
1.361	31

=====

The following is a calculated powder X-ray diffraction pattern of SrPmSn3. It was derived from a structure optimized by DFT (GGA-PBE), using λ = 1.5418 Å (Cu Kα).

Crystal structure
a = 4.9580 Å, b = 7.8614 Å, c = 8.6648 Å
α = 91.78°, β = 106.59°, γ = 90.07°
Fractional coordinates of all 10 atoms:
Sr 0.0906 0.1587 0.1831
Sr 0.9094 0.8413 0.8169
Pm 0.1842 0.6730 0.3688
Pm 0.8158 0.3270 0.6312
Sn 0.2954 0.0421 0.5908
Sn 0.3725 0.5623 0.7425
Sn 0.4546 0.2381 0.9104
Sn 0.5454 0.7619 0.0896
Sn 0.6275 0.4377 0.2575
Sn 0.7046 0.9579 0.4092

The 6 most intense peaks (10 to 90 degrees two-theta), low angle first:
d (Å)	I_rel
3.370	29
3.042	30
3.014	50
2.720	54
2.581	100
2.478	74